Record 1
The following is a theoretical powder diffraction line list of AgPdO2. It was derived from a structure optimized by DFT (GGA-PBE), using Cu Kα, 1.54184 Å.

Top 6 peaks for 10° ≤ 2θ ≤ 90°, in order of rising 2θ:
31.3°, I 92
32.1°, I 95
32.9°, I 100
33.0°, I 36
33.2°, I 62
40.1°, I 38

Structural model:
a = 6.2962 Å, b = 3.0802 Å, c = 6.4516 Å
α = 90.00°, β = 117.67°, γ = 90.00°
Fractional coordinates of all 8 atoms:
Ag1 0.0000 0.0000 0.0000
Ag2 0.0000 0.0000 0.5000
Pd1 0.5000 0.0000 0.0000
Pd2 0.5000 0.5000 0.5000
O1 0.2600 0.0000 0.3605
O2 0.4054 0.5000 0.7660
O3 0.5946 0.5000 0.2340
O4 0.7400 0.0000 0.6395



Record 2
The following is a theoretical powder diffraction line list of NaHoBO5. It was derived from a structure optimized by DFT (GGA-PBE), using Cu Kα, 1.54184 Å.

Top 6 peaks for 10° ≤ 2θ ≤ 90°, in order of rising 2θ:
15.2°, I 100
24.7°, I 87
25.8°, I 66
29.4°, I 50
30.0°, I 57
50.4°, I 67

Structural model:
a = 4.6079 Å, b = 6.9181 Å, c = 6.1946 Å
α = 90.00°, β = 109.26°, γ = 90.00°
Fractional coordinates of all 16 atoms:
Na1 0.0000 0.0000 0.0000
Na2 0.0000 0.5000 0.0000
Ho1 0.3636 0.2500 0.5872
Ho2 0.6364 0.7500 0.4128
B1 0.3460 0.7500 0.7799
B2 0.6540 0.2500 0.2201
O1 0.0249 0.7500 0.7539
O2 0.1058 0.7500 0.3276
O3 0.4249 0.5777 0.6704
O4 0.4249 0.9223 0.6704
O5 0.4735 0.2500 0.9785
O6 0.5265 0.7500 0.0215
O7 0.5751 0.0777 0.3296
O8 0.5751 0.4223 0.3296
O9 0.8942 0.2500 0.6724
O10 0.9751 0.2500 0.2461



Record 3
The following is a theoretical powder diffraction line list of Sc6As2O. It was derived from a structure optimized by DFT (GGA-PBE), using Cu Kα, 1.54184 Å.

Top 6 peaks for 10° ≤ 2θ ≤ 90°, in order of rising 2θ:
21.5°, I 100
32.2°, I 91
34.3°, I 33
42.1°, I 87
43.8°, I 43
53.0°, I 53

Structural model:
a = 5.8411 Å, b = 5.8411 Å, c = 11.2740 Å
α = 90.00°, β = 90.00°, γ = 90.00°
Fractional coordinates of all 18 atoms:
Sc1 0.1919 0.1919 0.1417
Sc2 0.1919 0.1919 0.8583
Sc3 0.2160 0.2160 0.5000
Sc4 0.2840 0.7160 0.0000
Sc5 0.3081 0.6919 0.3583
Sc6 0.3081 0.6919 0.6417
Sc7 0.6919 0.3081 0.3583
Sc8 0.6919 0.3081 0.6417
Sc9 0.7160 0.2840 0.0000
Sc10 0.7840 0.7840 0.5000
Sc11 0.8081 0.8081 0.1417
Sc12 0.8081 0.8081 0.8583
As1 0.0000 0.0000 0.3263
As2 0.0000 0.0000 0.6737
As3 0.5000 0.5000 0.1737
As4 0.5000 0.5000 0.8263
O1 0.0000 0.0000 0.0000
O2 0.5000 0.5000 0.5000



Record 4
The following is a theoretical powder diffraction line list of Na2Li2Pr3Pb4. It was derived from a structure optimized by DFT (GGA-PBE), using Cu Kα, 1.54184 Å.

Top 6 peaks for 10° ≤ 2θ ≤ 90°, in order of rising 2θ:
23.8°, I 100
30.7°, I 83
36.9°, I 65
39.8°, I 23
48.8°, I 23
62.7°, I 22

Structural model:
a = 4.8666 Å, b = 4.8666 Å, c = 16.1271 Å
α = 90.00°, β = 90.00°, γ = 120.00°
Fractional coordinates of all 11 atoms:
Na1 0.3333 0.6667 0.0611
Na2 0.6667 0.3333 0.9389
Li1 0.3333 0.6667 0.6333
Li2 0.6667 0.3333 0.3667
Pr1 0.0000 0.0000 0.2524
Pr2 0.0000 0.0000 0.5000
Pr3 0.0000 0.0000 0.7476
Pb1 0.3333 0.6667 0.3824
Pb2 0.3333 0.6667 0.8478
Pb3 0.6667 0.3333 0.1522
Pb4 0.6667 0.3333 0.6176



Record 5
The following is a theoretical powder diffraction line list of KTl2HF4. It was derived from a structure optimized by DFT (GGA-PBE), using Cu Kα, 1.54184 Å.

Top 6 peaks for 10° ≤ 2θ ≤ 90°, in order of rising 2θ:
14.3°, I 100
26.7°, I 56
28.6°, I 51
33.5°, I 53
36.6°, I 51
44.8°, I 43

Structural model:
a = 7.3427 Å, b = 5.3748 Å, c = 7.1608 Å
α = 70.06°, β = 43.48°, γ = 66.46°
Fractional coordinates of all 8 atoms:
K1 0.0000 0.0000 0.0000
Tl1 0.2675 0.2675 0.2325
Tl2 0.7675 0.7675 0.7325
H1 0.3419 0.3419 0.6581
F1 0.1722 0.4909 0.8278
F2 0.2023 0.7871 0.2129
F3 0.4909 0.1722 0.5091
F4 0.7871 0.2023 0.7977



Record 6
The following is a theoretical powder diffraction line list of Mn2TcHg4. It was derived from a structure optimized by DFT (GGA-PBE), using Cu Kα, 1.54184 Å.

Top 6 peaks for 10° ≤ 2θ ≤ 90°, in order of rising 2θ:
27.3°, I 100
34.0°, I 84
37.5°, I 46
43.6°, I 28
48.8°, I 30
51.5°, I 37

Structural model:
a = 7.6895 Å, b = 7.6895 Å, c = 7.6895 Å
α = 139.86°, β = 139.86°, γ = 58.07°
Fractional coordinates of all 7 atoms:
Mn1 0.0963 0.0963 0.0000
Mn2 0.9037 0.9037 0.0000
Tc1 0.5000 0.5000 0.0000
Hg1 0.0000 0.5000 0.5000
Hg2 0.2957 0.2957 0.0000
Hg3 0.5000 0.0000 0.5000
Hg4 0.7043 0.7043 0.0000